This entry pairs a crystal structure of PmAg3Cl6 with its theoretical powder XRD pattern. Radiation: Cu Kα (λ = 1.5418 Å). Structure: a crystal structure in Alexandria, relaxed with GGA-PBE.
Neutral-atom scattering factors, no anomalous dispersion.

```
PmAg3Cl6
1.0
3.478 2.008 6.294
-3.478 2.008 6.294
0.000 -4.016 6.294
Pm Ag Cl
1 3 6
Direct
0.000 0.000 0.000 Pm
0.198 0.198 0.198 Ag
0.491 0.491 0.491 Ag
0.694 0.694 0.694 Ag
0.092 0.786 0.400 Cl
0.273 0.602 0.902 Cl
0.400 0.092 0.786 Cl
0.602 0.902 0.273 Cl
0.786 0.400 0.092 Cl
0.902 0.273 0.602 Cl
```

Most intense lines, 2θ = 15–90°, low angle first:
| 2θ/deg | I/Imax |
| --- | --- |
| 17.46 | 46.3 |
| 23.95 | 99.1 |
| 25.62 | 86.1 |
| 29.34 | 31.7 |
| 35.35 | 46.7 |
| 38.58 | 100.0 |
| 44.17 | 44.8 |
| 45.16 | 59.4 |
| 50.67 | 21.9 |
| 60.87 | 24.0 |
| 64.07 | 18.6 |
| 78.93 | 21.5 |

This entry pairs a crystal structure of SrNd2S4 with its theoretical powder XRD pattern. Radiation: Cu Kα (λ = 1.5418 Å). Structure: a crystal structure in Alexandria, relaxed with GGA-PBE.
Neutral-atom scattering factors, no anomalous dispersion.

```
SrNd2S4
1.0
-4.351 4.351 4.350
4.351 -4.351 4.350
4.351 4.351 -4.350
Sr Nd S
2 4 8
Direct
0.000 0.000 0.000 Sr
0.750 0.250 0.500 Sr
0.248 0.625 0.123 Nd
0.375 0.498 0.623 Nd
0.502 0.125 0.877 Nd
0.875 0.752 0.377 Nd
0.134 0.732 0.749 S
0.135 0.233 0.751 S
0.268 0.017 0.403 S
0.482 0.384 0.249 S
0.615 0.866 0.597 S
0.616 0.865 0.097 S
0.767 0.518 0.903 S
0.983 0.385 0.251 S
```

Most intense lines, 2θ = 15–90°, low angle first:
| 2θ/deg | I/Imax |
| --- | --- |
| 25.07 | 94.3 |
| 32.54 | 100.0 |
| 38.72 | 64.1 |
| 46.69 | 39.6 |
| 49.11 | 26.1 |
| 51.45 | 8.9 |
| 53.72 | 30.7 |
| 58.07 | 8.4 |
| 66.21 | 37.7 |
| 70.09 | 14.9 |
| 79.43 | 8.3 |
| 81.25 | 27.4 |

This entry pairs a crystal structure of Tb2DyYHo2 with its theoretical powder XRD pattern. Radiation: Cu Kα (λ = 1.5418 Å). Structure: a crystal structure in Alexandria, relaxed with GGA-PBE.
Neutral-atom scattering factors, no anomalous dispersion.

```
Tb2DyYHo2
1.0
6.542 0.000 0.000
0.000 17.694 0.000
0.000 0.000 3.373
Tb Dy Y Ho
4 2 2 4
Direct
0.230 0.185 0.000 Tb
0.270 0.685 0.500 Tb
0.730 0.315 0.500 Tb
0.770 0.815 0.000 Tb
0.000 0.500 0.000 Dy
0.500 0.000 0.500 Dy
0.000 0.000 0.000 Y
0.500 0.500 0.500 Y
0.228 0.352 0.500 Ho
0.272 0.852 0.000 Ho
0.728 0.148 0.000 Ho
0.772 0.648 0.500 Ho
```

Most intense lines, 2θ = 15–90°, low angle first:
| 2θ/deg | I/Imax |
| --- | --- |
| 27.26 | 20.0 |
| 29.10 | 75.4 |
| 30.31 | 62.8 |
| 30.53 | 100.0 |
| 31.51 | 23.1 |
| 33.33 | 29.4 |
| 34.09 | 48.0 |
| 36.20 | 23.1 |
| 38.68 | 34.0 |
| 41.39 | 51.1 |
| 55.93 | 24.6 |
| 65.26 | 20.0 |

This entry pairs a crystal structure of CaNd3Au4 with its theoretical powder XRD pattern. Radiation: Cu Kα (λ = 1.5418 Å). Structure: a crystal structure in Alexandria, relaxed with GGA-PBE.
Neutral-atom scattering factors, no anomalous dispersion.

```
CaNd3Au4
1.0
7.396 0.000 0.000
0.000 7.396 0.000
0.000 0.000 7.396
Ca Nd Au
2 6 8
Direct
0.000 0.000 0.000 Ca
0.500 0.500 0.500 Ca
0.000 0.000 0.500 Nd
0.000 0.500 0.000 Nd
0.000 0.500 0.500 Nd
0.500 0.000 0.000 Nd
0.500 0.000 0.500 Nd
0.500 0.500 0.000 Nd
0.250 0.250 0.250 Au
0.250 0.250 0.750 Au
0.250 0.750 0.250 Au
0.250 0.750 0.750 Au
0.750 0.250 0.250 Au
0.750 0.250 0.750 Au
0.750 0.750 0.250 Au
0.750 0.750 0.750 Au
```

Most intense lines, 2θ = 15–90°, low angle first:
| 2θ/deg | I/Imax |
| --- | --- |
| 16.95 | 3.5 |
| 24.07 | 7.2 |
| 29.59 | 1.9 |
| 34.29 | 100.0 |
| 42.33 | 2.4 |
| 45.91 | 1.2 |
| 49.28 | 18.1 |
| 55.57 | 3.4 |
| 61.41 | 37.5 |
| 72.26 | 11.7 |
| 77.42 | 1.7 |
| 82.48 | 16.7 |